Simulated PXRD pattern
Compound: K
Radiation: Cu Ka
Structure: a cell relaxed with GGA-PBE
Neutral-atom scattering factors, no anomalous dispersion.

Top 10 peaks for 10° ≤ 2θ ≤ 80°, in order of falling intensity:
2theta	I_rel	index
23.48	100	2 2 1
24.77	59	3 1 0
40.46	32	4 3 1
26.00	27	3 1 1
42.84	26	5 2 0
48.02	10	4 4 2
29.40	9	3 2 1
63.96	7	6 5 0
33.44	7	4 1 1
43.61	7	5 2 1

Cell and atoms:
a b c (Å): 11.368 11.368 11.368
angles (deg): 90.00 90.00 90.00
Sites, in units of the cell vectors:
K (0.047, 0.125, 0.797)
K (0.062, 0.938, 0.438)
K (0.125, 0.797, 0.047)
K (0.188, 0.188, 0.188)
K (0.203, 0.547, 0.375)
K (0.297, 0.453, 0.875)
K (0.312, 0.812, 0.688)
K (0.375, 0.203, 0.547)
K (0.438, 0.062, 0.938)
K (0.453, 0.875, 0.297)
K (0.547, 0.375, 0.203)
K (0.562, 0.562, 0.562)
K (0.625, 0.703, 0.953)
K (0.688, 0.312, 0.812)
K (0.703, 0.953, 0.625)
K (0.797, 0.047, 0.125)
K (0.812, 0.688, 0.312)
K (0.875, 0.297, 0.453)
K (0.938, 0.438, 0.062)
K (0.953, 0.625, 0.703)